(1)
# Mg2OsAu
Simulated XRD peak list, Cu Kα X-rays. Input: the GGA-PBE geometry in OQMD.

Principal peaks in the range 10° ≤ 2θ ≤ 90°, by intensity:
d/Å, I (rel.)
2.277, 100
3.718, 70
1.942, 37
1.314, 35
1.610, 17
1.477, 15
1.239, 12
1.138, 11

Structure:
Unit cell a=6.439 b=6.439 c=6.439 alpha=90.00 beta=90.00 gamma=90.00
Positions (direct):
Mg (0.000, 0.000, 0.000)
Mg (0.000, 0.500, 0.500)
Mg (0.250, 0.250, 0.250)
Mg (0.250, 0.750, 0.750)
Mg (0.500, 0.000, 0.500)
Mg (0.500, 0.500, 0.000)
Mg (0.750, 0.250, 0.750)
Mg (0.750, 0.750, 0.250)
Os (0.000, 0.000, 0.500)
Os (0.000, 0.500, 0.000)
Os (0.500, 0.000, 0.000)
Os (0.500, 0.500, 0.500)
Au (0.250, 0.250, 0.750)
Au (0.250, 0.750, 0.250)
Au (0.750, 0.250, 0.250)
Au (0.750, 0.750, 0.750)

(2)
# K2Co3S4
Simulated XRD peak list, Cu Kα X-rays. Input: the GGA-PBE geometry in OQMD.

Principal peaks in the range 10° ≤ 2θ ≤ 90°, by intensity:
d/Å, I (rel.)
6.683, 100
1.646, 23
2.274, 21
2.444, 20
2.382, 19
3.607, 19
1.973, 18
4.285, 18
2.295, 17
3.299, 14

Structure:
Unit cell a=14.239 b=13.660 c=5.660 alpha=84.11 beta=72.60 gamma=23.29
Positions (direct):
K (0.047, 0.047, 0.203)
K (0.203, 0.203, 0.047)
K (0.797, 0.797, 0.953)
K (0.953, 0.953, 0.797)
Co (0.126, 0.126, 0.624)
Co (0.375, 0.375, 0.375)
Co (0.376, 0.376, 0.874)
Co (0.624, 0.624, 0.126)
Co (0.625, 0.625, 0.625)
Co (0.874, 0.874, 0.376)
S (0.157, 0.482, 0.259)
S (0.259, 0.601, 0.157)
S (0.399, 0.741, 0.518)
S (0.482, 0.157, 0.601)
S (0.518, 0.843, 0.399)
S (0.601, 0.259, 0.482)
S (0.741, 0.399, 0.843)
S (0.843, 0.518, 0.741)

(3)
# Cu7Ag3
Simulated XRD peak list, Cu Kα X-rays. Input: the GGA-PBE geometry in OQMD.

Principal peaks in the range 10° ≤ 2θ ≤ 90°, by intensity:
d/Å, I (rel.)
2.196, 100
1.898, 31
1.145, 21
1.346, 19
1.908, 16
1.150, 11
1.098, 10
1.342, 9
3.796, 3
2.692, 2

Structure:
Unit cell a=9.682 b=9.682 c=3.796 alpha=90.00 beta=90.00 gamma=157.27
Positions (direct):
Cu (0.000, 0.000, 0.000)
Cu (0.098, 0.902, 0.500)
Cu (0.195, 0.805, 0.000)
Cu (0.402, 0.598, 0.000)
Cu (0.598, 0.402, 0.000)
Cu (0.805, 0.195, 0.000)
Cu (0.902, 0.098, 0.500)
Ag (0.303, 0.697, 0.500)
Ag (0.500, 0.500, 0.500)
Ag (0.697, 0.303, 0.500)

(4)
# MoBr5
Simulated XRD peak list, Cu Kα X-rays. Input: the GGA-PBE geometry in OQMD.

Principal peaks in the range 10° ≤ 2θ ≤ 90°, by intensity:
d/Å, I (rel.)
2.885, 100
2.832, 42
2.873, 35
3.010, 28
6.020, 24
2.227, 23
2.855, 18
1.895, 17
1.874, 17
1.879, 16

Structure:
Unit cell a=6.480 b=7.058 c=9.652 alpha=108.19 beta=90.76 gamma=116.41
Positions (direct):
Mo (0.107, 0.218, 0.217)
Mo (0.893, 0.782, 0.783)
Br (0.073, 0.812, 0.567)
Br (0.119, 0.617, 0.855)
Br (0.247, 0.186, 0.955)
Br (0.309, 0.005, 0.247)
Br (0.452, 0.581, 0.335)
Br (0.548, 0.419, 0.665)
Br (0.691, 0.995, 0.753)
Br (0.753, 0.814, 0.045)
Br (0.881, 0.383, 0.145)
Br (0.927, 0.188, 0.433)

(5)
# LaNdIBr2N
Simulated XRD peak list, Cu Kα X-rays. Input: the GGA-PBE geometry in OQMD.

Principal peaks in the range 10° ≤ 2θ ≤ 90°, by intensity:
d/Å, I (rel.)
2.963, 100
8.828, 67
3.376, 49
2.918, 45
3.566, 30
2.196, 30
2.220, 27
2.069, 26
2.738, 26
1.688, 25

Structure:
Unit cell a=9.408 b=9.408 c=11.987 alpha=120.70 beta=120.70 gamma=25.41
Positions (direct):
La (0.131, 0.131, 0.277)
La (0.869, 0.869, 0.723)
Nd (0.421, 0.421, 0.042)
Nd (0.579, 0.579, 0.958)
I (0.343, 0.343, 0.484)
I (0.657, 0.657, 0.516)
Br (0.047, 0.047, 0.757)
Br (0.214, 0.214, 0.109)
Br (0.786, 0.786, 0.891)
Br (0.953, 0.953, 0.243)
N (0.429, 0.429, 0.851)
N (0.571, 0.571, 0.149)

(6)
# Th3Mg2Tc3
Simulated XRD peak list, Cu Kα X-rays. Input: the GGA-PBE geometry in OQMD.

Principal peaks in the range 10° ≤ 2θ ≤ 90°, by intensity:
d/Å, I (rel.)
3.351, 100
2.764, 55
2.370, 49
1.974, 46
4.885, 38
1.701, 35
2.443, 26
3.402, 26
1.277, 22
1.499, 19

Structure:
Unit cell a=4.740 b=4.740 c=9.770 alpha=90.00 beta=90.00 gamma=90.00
Positions (direct):
Th (0.000, 0.000, 0.000)
Th (0.000, 0.000, 0.500)
Th (0.500, 0.500, 0.000)
Mg (0.000, 0.500, 0.747)
Mg (0.500, 0.000, 0.253)
Tc (0.500, 0.500, 0.260)
Tc (0.500, 0.500, 0.500)
Tc (0.500, 0.500, 0.740)